Structure and simulated XRD peak list of SrCaMnO4 (a crystal structure in the Materials Project, relaxed with PBE+U; copper Kα).

Largest 10 diffraction maxima, in order of rising 2θ, 10° ≤ 2θ ≤ 90°:
14.42°, d = 6.143 Å, rel. 30; 32.13°, d = 2.786 Å, rel. 100; 33.33°, d = 2.688 Å, rel. 77; 43.87°, d = 2.064 Å, rel. 19; 44.23°, d = 2.048 Å, rel. 21; 44.81°, d = 2.023 Å, rel. 23; 47.86°, d = 1.901 Å, rel. 46; 56.50°, d = 1.629 Å, rel. 19; 58.81°, d = 1.570 Å, rel. 35; 67.20°, d = 1.393 Å, rel. 21

Structure:
a = 6.705 Å, b = 6.705 Å, c = 6.705 Å
α = 147.06°, β = 147.06°, γ = 47.27°
Sites, in units of the cell vectors:
Sr1 0.000 0.000 0.000
Ca1 0.289 0.289 0.000
Mn1 0.648 0.648 0.000
O1 0.151 0.651 0.500
O2 0.484 0.484 0.000
O3 0.651 0.151 0.500
O4 0.805 0.805 0.000